# 1
Diffraction record for HoLu2O4. The XRD peak list is computed, not measured: it uses a structure optimized by DFT (PBE) and Cu Kα X-rays.
Intensities are scaled so that the largest is 100.

a = 9.3519 Å, b = 9.3519 Å, c = 9.3519 Å
α = 90.00°, β = 90.00°, γ = 90.00°
Space group Fd-3m (No. 227, origin choice 2)
Symmetry-distinct sites (fractional):
Ho  0.1250  0.1250  0.1250 (multiplicity 8)
Lu  0.0000  0.0000  0.5000 (multiplicity 16)
O  0.0109  0.0109  0.7391 (multiplicity 32)

Peak list (10 most intense, 5 to 70 degrees two-theta, low angle first)
index	Position (°2θ)	I (rel.)
1 1 1	16.4	8.6
2 2 0	27.0	25.0
3 1 1	31.7	100.0
2 2 2	33.2	28.5
4 0 0	38.5	11.0
4 2 2	47.6	10.4
5 1 1	50.7	38.4
4 4 0	55.6	39.7
5 3 3	65.4	12.8
6 2 2	66.3	13.6

# 2
Diffraction record for Gd2Y3Lu3. The XRD peak list is computed, not measured: it uses a structure optimized by DFT (PBE) and Cu Kα X-rays.
Intensities are scaled so that the largest is 100.

```
data_Gd2Y3Lu3
_symmetry_space_group_name_H-M 'P -6 m 2'
_symmetry_Int_Tables_number 187
_symmetry_space_group_name_Hall 'P -6 2'
_cell_length_a 7.1957
_cell_length_b 7.1957
_cell_length_c 5.6199
_cell_angle_alpha 90.00
_cell_angle_beta 90.00
_cell_angle_gamma 120.00
loop_
_atom_site_label
_atom_site_type_symbol
_atom_site_fract_x
_atom_site_fract_y
_atom_site_fract_z
Gd1 Gd 0.0000 0.0000 0.0000
Gd2 Gd 0.3333 0.6667 0.5000
Y1 Y 0.5008 0.0016 0.0000
Lu1 Lu 0.3350 0.1675 0.5000
```

Peak list (10 most intense, 5 to 70 degrees two-theta, low angle first)
index	Position (°2θ)	I (rel.)
0 0 1	15.8	6.0
2 0 0	28.7	26.9
0 0 2	31.8	23.8
2 0 1	32.9	100.0
2 0 2	43.4	17.6
2 2 0	50.8	19.3
2 0 3	57.4	20.3
2 2 2	61.2	21.9
4 0 1	61.8	16.2
4 0 2	68.9	4.5

# 3
Diffraction record for PdSe2S4Br2. The XRD peak list is computed, not measured: it uses a structure optimized by DFT (PBE) and Cu Kα X-rays.
Intensities are scaled so that the largest is 100.

```
data_PdSe2S4Br2
_symmetry_space_group_name_H-M 'P -1'
_symmetry_Int_Tables_number 2
_symmetry_space_group_name_Hall '-P 1'
_cell_length_a 4.7208
_cell_length_b 7.6036
_cell_length_c 7.9921
_cell_angle_alpha 63.36
_cell_angle_beta 84.44
_cell_angle_gamma 79.31
loop_
_atom_site_label
_atom_site_type_symbol
_atom_site_fract_x
_atom_site_fract_y
_atom_site_fract_z
Pd1 Pd 0.0000 0.0000 0.0000
Se1 Se 0.1640 0.2250 0.4940
S1 S 0.0467 0.5017 0.7438
S2 S 0.1235 0.7224 0.2802
Br1 Br 0.3806 0.8411 0.8532
```

Peak list (10 most intense, 5 to 70 degrees two-theta, low angle first)
index	Position (°2θ)	I (rel.)
0 1 0	13.2	35.1
1 0 0	19.1	29.1
1 1 1	21.5	100.0
0 1 -1	21.8	21.6
1 2 1	27.8	62.7
-1 1 2	31.3	60.1
0 1 -2	33.2	22.0
0 2 -1	34.2	25.3
1 -1 2	39.5	17.9
2 3 2	48.9	19.6

# 4
Diffraction record for BaPrNO. The XRD peak list is computed, not measured: it uses a structure optimized by DFT (PBE) and Cu Kα X-rays.
Intensities are scaled so that the largest is 100.

```
data_BaPrNO
_symmetry_space_group_name_H-M 'P c a 21'
_symmetry_Int_Tables_number 29
_symmetry_space_group_name_Hall 'P 2c -2ac'
_cell_length_a 7.2848
_cell_length_b 8.5556
_cell_length_c 5.9458
_cell_angle_alpha 90.00
_cell_angle_beta 90.00
_cell_angle_gamma 90.00
loop_
_atom_site_label
_atom_site_type_symbol
_atom_site_fract_x
_atom_site_fract_y
_atom_site_fract_z
Ba1 Ba 0.0815 0.1348 0.0000
Pr1 Pr 0.0853 0.6156 0.9968
N1 N 0.0977 0.6044 0.5970
O1 O 0.0636 0.1426 0.5533
```

Peak list (10 most intense, 5 to 70 degrees two-theta, low angle first)
index	Position (°2θ)	I (rel.)
1 2 0	24.1	39.0
2 0 0	24.4	19.5
1 2 1	28.5	100.0
2 0 1	28.7	50.4
0 0 2	30.1	41.8
1 2 2	38.9	19.9
3 2 0	42.8	32.6
1 2 3	52.4	21.9
2 0 3	52.6	20.7
3 2 2	53.2	31.7